[1]
Diffraction record for Li3CoPO5. The XRD peak list is theoretical, not measured: it uses DFT lattice parameters and positions (GGA+U) and Cu Kα (weighted mean of Kα1 and Kα2).

Structure:
Cell lengths 5.4345, 15.7832, 4.9661 Å; angles 90.00, 90.00, 90.00 degrees
Fractional coordinates of all 40 atoms:
Li  0.1622  0.0960  0.0000
Li  0.1677  0.6978  0.9846
Li  0.1688  0.5026  0.9998
Li  0.3312  0.0026  0.4998
Li  0.3323  0.1978  0.4846
Li  0.3378  0.5960  0.5000
Li  0.6622  0.4040  0.0000
Li  0.6677  0.8022  0.9846
Li  0.6688  0.9974  0.9998
Li  0.8312  0.4974  0.4998
Li  0.8323  0.3022  0.4846
Li  0.8378  0.9040  0.5000
Co  0.1742  0.2966  0.9988
Co  0.3258  0.7966  0.4988
Co  0.6742  0.2034  0.9988
Co  0.8258  0.7034  0.4988
P  0.1664  0.9017  0.9934
P  0.3336  0.4017  0.4934
P  0.6664  0.5983  0.9934
P  0.8336  0.0983  0.4934
O  0.1038  0.0983  0.5945
O  0.1651  0.6943  0.5965
O  0.1721  0.9038  0.6780
O  0.1898  0.4801  0.6009
O  0.2021  0.3183  0.5885
O  0.2979  0.8183  0.0885
O  0.3102  0.9801  0.1009
O  0.3279  0.4038  0.1780
O  0.3349  0.1943  0.0965
O  0.3962  0.5983  0.0945
O  0.6038  0.4017  0.5945
O  0.6651  0.8057  0.5965
O  0.6721  0.5962  0.6780
O  0.6898  0.0199  0.6009
O  0.7021  0.1817  0.5885
O  0.7979  0.6817  0.0885
O  0.8102  0.5199  0.1009
O  0.8279  0.0962  0.1780
O  0.8349  0.3057  0.0965
O  0.8962  0.9017  0.0945

Most intense lines, 10 to 90 degrees two-theta, in order of falling intensity:
19.84 deg, intensity 100; 24.65 deg, intensity 93; 32.81 deg, intensity 59; 36.18 deg, intensity 54; 11.21 deg, intensity 52; 37.60 deg, intensity 40; 66.03 deg, intensity 37; 32.96 deg, intensity 35

=====

[2]
Diffraction record for Li3Co3P4O16. The XRD peak list is theoretical, not measured: it uses DFT lattice parameters and positions (GGA+U) and Cu Kα (weighted mean of Kα1 and Kα2).

Structure:
Cell lengths 8.0726, 4.9396, 15.2419 Å; angles 90.00, 111.34, 90.00 degrees
Fractional coordinates of all 52 atoms:
Li  0.0000  0.0000  0.0000
Li  0.0000  0.5000  0.5000
Li  0.2989  0.0155  0.6222
Li  0.2989  0.4845  0.1222
Li  0.7011  0.5155  0.8778
Li  0.7011  0.9845  0.3778
Co  0.1828  0.5684  0.7049
Co  0.1828  0.9316  0.2049
Co  0.5000  0.0000  0.5000
Co  0.5000  0.5000  0.0000
Co  0.8172  0.0684  0.7951
Co  0.8172  0.4316  0.2951
P  0.0854  0.5196  0.8935
P  0.0854  0.9804  0.3935
P  0.4733  0.5105  0.3556
P  0.4733  0.9895  0.8556
P  0.5267  0.0105  0.1444
P  0.5267  0.4895  0.6444
P  0.9146  0.0196  0.6065
P  0.9146  0.4804  0.1065
O  0.0174  0.6910  0.3927
O  0.0174  0.8090  0.8927
O  0.0615  0.6813  0.1007
O  0.0615  0.8187  0.6007
O  0.1152  0.0428  0.3002
O  0.1152  0.4572  0.8002
O  0.2521  0.0497  0.4806
O  0.2521  0.4503  0.9806
O  0.3285  0.5824  0.2584
O  0.3285  0.9176  0.7584
O  0.3395  0.0850  0.1506
O  0.3395  0.4150  0.6506
O  0.4387  0.6806  0.4304
O  0.4387  0.8194  0.9304
O  0.4806  0.2039  0.3793
O  0.4806  0.2961  0.8793
O  0.5194  0.7039  0.1207
O  0.5194  0.7961  0.6207
O  0.5613  0.1806  0.0696
O  0.5613  0.3194  0.5696
O  0.6605  0.5850  0.3494
O  0.6605  0.9150  0.8494
O  0.6715  0.0824  0.2416
O  0.6715  0.4176  0.7416
O  0.7479  0.5497  0.0194
O  0.7479  0.9503  0.5194
O  0.8848  0.5428  0.1998
O  0.8848  0.9572  0.6998
O  0.9385  0.1813  0.3993
O  0.9385  0.3187  0.8993
O  0.9826  0.1910  0.1073
O  0.9826  0.3090  0.6073

Most intense lines, 10 to 90 degrees two-theta, in order of falling intensity:
26.08 deg, intensity 100; 23.63 deg, intensity 93; 32.32 deg, intensity 58; 31.48 deg, intensity 50; 27.58 deg, intensity 47; 22.37 deg, intensity 46; 23.50 deg, intensity 45; 36.38 deg, intensity 40

=====

[3]
Diffraction record for Li6Co3SbP6O24. The XRD peak list is theoretical, not measured: it uses DFT lattice parameters and positions (GGA+U) and Cu Kα (weighted mean of Kα1 and Kα2).

Structure:
Cell lengths 8.6504, 8.6833, 8.7134 Å; angles 60.97, 60.83, 61.22 degrees
Fractional coordinates of all 40 atoms:
Li  0.0000  0.0000  0.0000
Li  0.0977  0.8502  0.5121
Li  0.1994  0.3310  0.4709
Li  0.3908  0.7094  0.1675
Li  0.6681  0.5313  0.7999
Li  0.8311  0.1880  0.6477
Co  0.0064  0.3417  0.8091
Co  0.5043  0.8405  0.3008
Co  0.7143  0.0486  0.5139
Sb  0.2146  0.5423  0.0129
P  0.1055  0.1387  0.2085
P  0.3134  0.9352  0.6964
P  0.4112  0.4387  0.6041
P  0.6046  0.2295  0.1186
P  0.8083  0.7411  0.9058
P  0.9030  0.6513  0.4079
O  0.0471  0.1687  0.0556
O  0.1062  0.5949  0.2534
O  0.1346  0.1056  0.7166
O  0.1688  0.3035  0.1640
O  0.2511  0.3847  0.6362
O  0.2676  0.7827  0.9041
O  0.2677  0.9503  0.2312
O  0.3246  0.8759  0.5499
O  0.3685  0.4961  0.7738
O  0.4149  0.6141  0.4268
O  0.4544  0.4371  0.0669
O  0.4926  0.9513  0.6665
O  0.5297  0.0809  0.1597
O  0.5968  0.2837  0.5953
O  0.6236  0.7693  0.0678
O  0.6363  0.2134  0.2812
O  0.7418  0.7042  0.3456
O  0.7719  0.2372  0.9346
O  0.8272  0.9162  0.7363
O  0.8327  0.5819  0.8567
O  0.9076  0.4672  0.5750
O  0.9079  0.8076  0.4373
O  0.9546  0.1279  0.4006
O  0.9747  0.6921  0.9710

Most intense lines, 10 to 90 degrees two-theta, in order of falling intensity:
23.79 deg, intensity 100; 20.43 deg, intensity 87; 20.15 deg, intensity 83; 35.34 deg, intensity 59; 28.80 deg, intensity 47; 32.48 deg, intensity 45; 20.54 deg, intensity 41; 14.29 deg, intensity 38

=====

[4]
Diffraction record for Li2CoSnP2O8. The XRD peak list is theoretical, not measured: it uses DFT lattice parameters and positions (GGA+U) and Cu Kα (weighted mean of Kα1 and Kα2).

Structure:
Cell lengths 4.9505, 5.9066, 12.0811 Å; angles 90.00, 100.46, 90.00 degrees
Fractional coordinates of all 28 atoms:
Li  0.0000  0.0000  0.0000
Li  0.0000  0.5000  0.0000
Li  0.5000  0.0000  0.5000
Li  0.5000  0.5000  0.5000
Co  0.0411  0.2500  0.6831
Co  0.9589  0.7500  0.3169
Sn  0.4560  0.2500  0.2179
Sn  0.5440  0.7500  0.7821
P  0.0686  0.2500  0.4188
P  0.4025  0.2500  0.8945
P  0.5975  0.7500  0.1055
P  0.9314  0.7500  0.5812
O  0.1787  0.0345  0.3648
O  0.1787  0.4655  0.3648
O  0.2282  0.2500  0.5432
O  0.2474  0.7500  0.5949
O  0.2714  0.0441  0.8180
O  0.2714  0.4559  0.8180
O  0.2810  0.2500  0.0036
O  0.2842  0.7500  0.0847
O  0.7158  0.2500  0.9153
O  0.7190  0.7500  0.9964
O  0.7286  0.5441  0.1820
O  0.7286  0.9559  0.1820
O  0.7526  0.2500  0.4051
O  0.7718  0.7500  0.4568
O  0.8213  0.5345  0.6352
O  0.8213  0.9655  0.6352

Most intense lines, 10 to 90 degrees two-theta, in order of falling intensity:
23.82 deg, intensity 100; 30.42 deg, intensity 97; 30.26 deg, intensity 88; 33.78 deg, intensity 80; 25.86 deg, intensity 76; 14.91 deg, intensity 70; 18.40 deg, intensity 60; 37.34 deg, intensity 58

=====

[5]
Diffraction record for Li4CoSn3P4O16. The XRD peak list is theoretical, not measured: it uses DFT lattice parameters and positions (GGA+U) and Cu Kα (weighted mean of Kα1 and Kα2).

Structure:
Cell lengths 4.8556, 6.7697, 10.9343 Å; angles 90.00, 91.21, 90.00 degrees
Fractional coordinates of all 28 atoms:
Li  0.0000  0.2263  0.0000
Li  0.0000  0.7737  0.0000
Li  0.4690  0.2569  0.4796
Li  0.4690  0.7431  0.4796
Co  0.9313  0.5000  0.2640
Sn  0.0240  0.0000  0.6965
Sn  0.4250  0.0000  0.2102
Sn  0.5004  0.5000  0.7740
P  0.0513  0.5000  0.5489
P  0.3436  0.5000  0.0940
P  0.5865  0.0000  0.9213
P  0.8713  0.0000  0.4087
O  0.1758  0.5000  0.4180
O  0.1784  0.3173  0.6194
O  0.1784  0.6827  0.6194
O  0.1863  0.0000  0.4235
O  0.1983  0.3193  0.1547
O  0.1983  0.6807  0.1547
O  0.2490  0.5000  0.9557
O  0.2748  0.0000  0.9414
O  0.6582  0.5000  0.1129
O  0.6924  0.1853  0.8494
O  0.6924  0.8147  0.8494
O  0.7301  0.0000  0.5388
O  0.7352  0.5000  0.5469
O  0.7457  0.0000  0.0476
O  0.7531  0.1864  0.3402
O  0.7531  0.8136  0.3402

Most intense lines, 10 to 90 degrees two-theta, in order of falling intensity:
26.33 deg, intensity 100; 24.11 deg, intensity 93; 23.85 deg, intensity 82; 33.18 deg, intensity 77; 33.77 deg, intensity 58; 16.22 deg, intensity 50; 35.42 deg, intensity 41; 31.04 deg, intensity 35

=====

[6]
Diffraction record for Li2CoSnP2O8. The XRD peak list is theoretical, not measured: it uses DFT lattice parameters and positions (GGA+U) and Cu Kα (weighted mean of Kα1 and Kα2).

Structure:
Cell lengths 4.8382, 6.2707, 22.6293 Å; angles 90.00, 89.59, 89.95 degrees
Fractional coordinates of all 56 atoms:
Li  0.0000  0.0000  0.0000
Li  0.0000  0.0000  0.5000
Li  0.0000  0.5000  0.0000
Li  0.0000  0.5000  0.5000
Li  0.4944  0.0033  0.2484
Li  0.4937  0.4965  0.7484
Li  0.5063  0.5035  0.2516
Li  0.5056  0.9967  0.7516
Co  0.4356  0.2501  0.1032
Co  0.4357  0.2499  0.6032
Co  0.5643  0.7501  0.3968
Co  0.5644  0.7499  0.8968
Sn  0.0151  0.2500  0.3626
Sn  0.0151  0.2502  0.8626
Sn  0.9849  0.7498  0.1374
Sn  0.9849  0.7500  0.6374
P  0.1524  0.7494  0.3107
P  0.1523  0.7503  0.8107
P  0.4203  0.7500  0.0374
P  0.4204  0.7500  0.5374
P  0.5796  0.2500  0.4626
P  0.5797  0.2500  0.9626
P  0.8477  0.2497  0.1893
P  0.8476  0.2506  0.6893
O  0.1621  0.2482  0.1798
O  0.1621  0.2530  0.6799
O  0.2442  0.7500  0.7449
O  0.2447  0.7513  0.2449
O  0.2613  0.2501  0.4577
O  0.2614  0.2502  0.9577
O  0.2859  0.5494  0.0688
O  0.2863  0.5492  0.5687
O  0.2857  0.9504  0.5689
O  0.2859  0.9506  0.0688
O  0.2964  0.9462  0.3411
O  0.2979  0.5529  0.8406
O  0.2999  0.9470  0.8405
O  0.3011  0.5522  0.3401
O  0.3083  0.7500  0.9733
O  0.3081  0.7506  0.4733
O  0.6919  0.2494  0.5267
O  0.6917  0.2500  0.0267
O  0.6989  0.4478  0.6599
O  0.7001  0.0530  0.1595
O  0.7021  0.4471  0.1594
O  0.7036  0.0538  0.6589
O  0.7141  0.0494  0.9312
O  0.7143  0.0496  0.4311
O  0.7137  0.4508  0.4313
O  0.7141  0.4506  0.9312
O  0.7386  0.7498  0.0423
O  0.7387  0.7499  0.5423
O  0.7553  0.2487  0.7551
O  0.7558  0.2500  0.2551
O  0.8379  0.7470  0.3201
O  0.8379  0.7518  0.8202

Most intense lines, 10 to 90 degrees two-theta, in order of falling intensity:
24.53 deg, intensity 100; 15.66 deg, intensity 78; 28.47 deg, intensity 74; 33.44 deg, intensity 63; 33.24 deg, intensity 49; 24.59 deg, intensity 43; 24.12 deg, intensity 41; 48.10 deg, intensity 26